Starting from a DFT-relaxed cell (PBE+U, Alexandria), the X-ray diffraction stick pattern of KV6O8 was computed for Cu Kα (λ = 1.5418 Å).

Principal peaks in the range 15° ≤ 2θ ≤ 90°, sorted by position:
- d 3.512, 25.36°, I 21
- d 3.192, 27.95°, I 47
- d 2.735, 32.75°, I 100
- d 2.451, 36.66°, I 45
- d 1.919, 47.38°, I 23
- d 1.856, 49.07°, I 13
- d 1.834, 49.71°, I 33
- d 1.800, 50.72°, I 31
- d 1.648, 55.80°, I 23
- d 1.464, 63.55°, I 13

abc: 5.960 5.960 5.960
angles: 94.00 94.00 94.00
Fractional positions:
K  0.000  0.000  0.000
V  0.191  0.372  0.571
V  0.372  0.571  0.191
V  0.429  0.809  0.628
V  0.571  0.191  0.372
V  0.628  0.429  0.809
V  0.809  0.628  0.429
O  0.142  0.681  0.409
O  0.261  0.261  0.261
O  0.319  0.591  0.858
O  0.409  0.142  0.681
O  0.591  0.858  0.319
O  0.681  0.409  0.142
O  0.739  0.739  0.739
O  0.858  0.319  0.591